Entry 1:
# Zn11Ga17Ge
Simulated powder diffraction line list, copper Kα. Input: a GGA-PBE-relaxed structure.

Peak list (10 most intense, 2θ from 15° to 90°, sorted by position)
2θ/deg, I (rel.)
35.9, 42
36.5, 39
36.6, 75
38.0, 48
38.3, 100
39.0, 71
39.2, 50
39.4, 41
43.4, 39
43.6, 46

Structure:
a b c (Å): 8.512 8.512 8.517
angles (deg): 107.43 107.43 106.71
Element x y z (fractional)
Zn 0.000 0.000 0.000
Zn 0.007 0.203 0.568
Zn 0.007 0.639 0.372
Zn 0.203 0.007 0.568
Zn 0.439 0.633 0.188
Zn 0.440 0.817 0.993
Zn 0.629 0.819 0.796
Zn 0.633 0.439 0.188
Zn 0.639 0.007 0.372
Zn 0.817 0.440 0.993
Zn 0.819 0.629 0.796
Ga 0.092 0.509 0.870
Ga 0.126 0.415 0.180
Ga 0.130 0.820 0.781
Ga 0.153 0.812 0.175
Ga 0.231 0.231 0.907
Ga 0.242 0.552 0.604
Ga 0.409 0.825 0.492
Ga 0.415 0.126 0.180
Ga 0.504 0.504 0.871
Ga 0.509 0.092 0.870
Ga 0.524 0.524 0.465
Ga 0.552 0.242 0.604
Ga 0.812 0.153 0.175
Ga 0.820 0.130 0.781
Ga 0.822 0.822 0.190
Ga 0.825 0.409 0.492
Ga 0.832 0.832 0.533
Ge 0.213 0.213 0.373

***

Entry 2:
# CaGa2O4
Simulated powder diffraction line list, copper Kα. Input: a GGA-PBE-relaxed structure.

Peak list (10 most intense, 2θ from 15° to 90°, sorted by position)
2θ/deg, I (rel.)
19.5, 32
22.7, 58
29.8, 56
30.1, 100
33.7, 96
34.4, 45
35.7, 38
41.0, 21
41.6, 23
52.9, 28

Structure:
a b c (Å): 10.443 7.850 9.259
angles (deg): 90.00 90.00 90.00
Element x y z (fractional)
Ca 0.113 0.007 0.000
Ca 0.182 0.497 0.047
Ca 0.318 0.997 0.547
Ca 0.387 0.507 0.500
Ca 0.613 0.493 0.000
Ca 0.682 0.003 0.047
Ca 0.818 0.503 0.547
Ca 0.887 0.993 0.500
Ga 0.096 0.684 0.670
Ga 0.115 0.285 0.670
Ga 0.131 0.692 0.342
Ga 0.150 0.242 0.343
Ga 0.350 0.742 0.843
Ga 0.369 0.192 0.842
Ga 0.385 0.785 0.170
Ga 0.404 0.184 0.170
Ga 0.596 0.816 0.670
Ga 0.615 0.215 0.670
Ga 0.631 0.808 0.342
Ga 0.650 0.258 0.343
Ga 0.850 0.758 0.843
Ga 0.869 0.308 0.842
Ga 0.885 0.715 0.170
Ga 0.904 0.316 0.170
O 0.030 0.478 0.607
O 0.040 0.238 0.849
O 0.045 0.174 0.192
O 0.089 0.137 0.513
O 0.184 0.652 0.840
O 0.199 0.471 0.319
O 0.205 0.792 0.175
O 0.207 0.747 0.520
O 0.293 0.247 0.020
O 0.295 0.292 0.675
O 0.301 0.971 0.819
O 0.316 0.152 0.340
O 0.411 0.637 0.013
O 0.455 0.674 0.692
O 0.460 0.738 0.349
O 0.470 0.978 0.107
O 0.530 0.022 0.607
O 0.540 0.262 0.849
O 0.545 0.326 0.192
O 0.589 0.363 0.513
O 0.684 0.848 0.840
O 0.699 0.029 0.319
O 0.705 0.708 0.175
O 0.707 0.753 0.520
O 0.793 0.253 0.020
O 0.795 0.208 0.675
O 0.801 0.529 0.819
O 0.816 0.348 0.340
O 0.911 0.863 0.013
O 0.955 0.826 0.692
O 0.960 0.762 0.349
O 0.970 0.522 0.107

***

Entry 3:
# LaNdHo3Th
Simulated powder diffraction line list, copper Kα. Input: a GGA-PBE-relaxed structure.

Peak list (10 most intense, 2θ from 15° to 90°, sorted by position)
2θ/deg, I (rel.)
30.4, 100
30.6, 33
35.1, 22
35.3, 45
50.5, 16
50.8, 24
60.3, 14
60.4, 19
60.6, 9
63.2, 12

Structure:
a b c (Å): 10.751 3.598 10.816
angles (deg): 90.00 108.99 90.00
Element x y z (fractional)
La 0.211 0.250 0.372
La 0.789 0.750 0.628
Nd 0.131 0.750 0.634
Nd 0.869 0.250 0.366
Ho 0.044 0.250 0.879
Ho 0.295 0.750 0.117
Ho 0.461 0.750 0.632
Ho 0.539 0.250 0.368
Ho 0.705 0.250 0.883
Ho 0.956 0.750 0.121
Th 0.379 0.250 0.878
Th 0.621 0.750 0.122

***

Entry 4:
# Ba2ScGaTe5
Simulated powder diffraction line list, copper Kα. Input: a GGA-PBE-relaxed structure.

Peak list (10 most intense, 2θ from 15° to 90°, sorted by position)
2θ/deg, I (rel.)
25.8, 24
27.0, 44
27.1, 41
28.0, 100
29.7, 34
32.4, 23
32.9, 16
40.6, 29
45.2, 26
49.4, 24

Structure:
a b c (Å): 10.448 10.448 14.108
angles (deg): 90.00 90.00 155.43
Element x y z (fractional)
Ba 0.123 0.877 0.500
Ba 0.129 0.871 0.130
Ba 0.871 0.129 0.630
Ba 0.877 0.123 0.000
Sc 0.208 0.792 0.835
Sc 0.792 0.208 0.335
Ga 0.436 0.564 0.244
Ga 0.564 0.436 0.744
Te 0.054 0.946 0.855
Te 0.295 0.705 0.471
Te 0.309 0.691 0.188
Te 0.347 0.653 0.817
Te 0.500 0.500 0.083
Te 0.500 0.500 0.583
Te 0.653 0.347 0.317
Te 0.691 0.309 0.688
Te 0.705 0.295 0.971
Te 0.946 0.054 0.355

***

Entry 5:
# Tb9Pr4Ho11
Simulated powder diffraction line list, copper Kα. Input: a GGA-PBE-relaxed structure.

Peak list (10 most intense, 2θ from 15° to 90°, sorted by position)
2θ/deg, I (rel.)
30.0, 16
30.2, 54
30.4, 14
30.9, 15
32.3, 100
32.5, 9
43.2, 10
49.2, 13
54.9, 9
58.8, 17

Structure:
a b c (Å): 15.102 15.102 3.705
angles (deg): 90.00 90.00 112.69
Element x y z (fractional)
Tb 0.000 0.000 0.000
Tb 0.135 0.662 0.000
Tb 0.289 0.435 0.000
Tb 0.338 0.865 0.000
Tb 0.435 0.289 0.000
Tb 0.565 0.711 0.000
Tb 0.662 0.135 0.000
Tb 0.711 0.565 0.000
Tb 0.865 0.338 0.000
Pr 0.054 0.254 0.000
Pr 0.254 0.054 0.000
Pr 0.746 0.946 0.000
Pr 0.946 0.746 0.000
Ho 0.093 0.455 0.500
Ho 0.137 0.863 0.500
Ho 0.215 0.215 0.500
Ho 0.341 0.659 0.500
Ho 0.455 0.093 0.500
Ho 0.500 0.500 0.500
Ho 0.545 0.907 0.500
Ho 0.659 0.341 0.500
Ho 0.785 0.785 0.500
Ho 0.863 0.137 0.500
Ho 0.907 0.545 0.500

***

Entry 6:
# Hf6BeBi2
Simulated powder diffraction line list, copper Kα. Input: a GGA-PBE-relaxed structure.

Peak list (10 most intense, 2θ from 15° to 90°, sorted by position)
2θ/deg, I (rel.)
33.2, 100
35.7, 53
35.9, 35
40.7, 26
43.2, 26
47.9, 17
61.1, 23
64.6, 14
66.0, 15
69.3, 23

Structure:
a b c (Å): 7.679 7.679 3.801
angles (deg): 90.00 90.00 120.00
Element x y z (fractional)
Hf 0.000 0.228 0.000
Hf 0.000 0.618 0.500
Hf 0.228 0.000 0.000
Hf 0.382 0.382 0.500
Hf 0.618 0.000 0.500
Hf 0.772 0.772 0.000
Be 0.000 0.000 0.500
Bi 0.333 0.667 0.000
Bi 0.667 0.333 0.000